[1]
# Pm4Ho3S8
Theoretical X-ray powder pattern, Cu Kα X-rays. Input: a cell relaxed with GGA-PBE.
Peak positions follow from Bragg's law for the DFT cell and can differ from measured ones.

Structural model:
Lattice parameters (Å, degrees): 11.191 11.198 7.907 90.00 134.89 90.00
Space group C2/m (No. 12)
Asymmetric unit:
Pm (0.000, 0.000, 0.000) (multiplicity 2)
Pm (0.000, 0.500, 0.500) (multiplicity 2)
Pm (0.250, 0.250, 0.000) (multiplicity 4)
Ho (0.000, 0.500, 0.000) (multiplicity 2)
Ho (0.250, 0.250, 0.500) (multiplicity 4)
S (0.000, 0.246, 0.500) (multiplicity 4)
S (0.000, 0.254, 0.000) (multiplicity 4)
S (0.249, 0.500, 0.007) (multiplicity 4)
S (0.250, 0.000, 0.509) (multiplicity 4)

The 8 most intense peaks (2θ from 5° to 70°), sorted by position:
13.7 deg, rel. 12, (1 1 0); 27.6 deg, rel. 69, (2 2 0); 32.0 deg, rel. 100, (0 4 0); 45.8 deg, rel. 60, (4 0 0); 45.9 deg, rel. 12, (4 0 -4); 54.3 deg, rel. 29, (2 6 -2); 56.9 deg, rel. 12, (4 4 0); 57.0 deg, rel. 12, (4 4 -4)

[2]
# Al6Ag
Theoretical X-ray powder pattern, Cu Kα X-rays. Input: a cell relaxed with GGA-PBE.
Peak positions follow from Bragg's law for the DFT cell and can differ from measured ones.

Structural model:
Lattice parameters (Å, degrees): 7.5143 7.5143 7.2147 90.00 90.00 120.00
Space group R-3 (No. 148, hexagonal axes)
Asymmetric unit:
Al (0.0470, 0.2355, 0.1626) (multiplicity 18)
Ag (0.0000, 0.0000, 0.5000) (multiplicity 3)

The 8 most intense peaks (2θ from 5° to 70°), sorted by position:
18.4 deg, rel. 53, (1 0 1); 23.7 deg, rel. 33, (1 1 0); 28.3 deg, rel. 22, (0 1 2); 37.4 deg, rel. 33, (0 0 3); 38.7 deg, rel. 100, (2 1 1); 44.6 deg, rel. 65, (3 -2 2); 64.0 deg, rel. 22, (2 1 4); 65.8 deg, rel. 20, (1 4 0)

[3]
# Mg3Ga2Ag3
Theoretical X-ray powder pattern, Cu Kα X-rays. Input: a cell relaxed with GGA-PBE.
Peak positions follow from Bragg's law for the DFT cell and can differ from measured ones.

Structural model:
Lattice parameters (Å, degrees): 4.417 10.170 13.667 90.00 90.00 90.00
Space group Cmcm (No. 63)
Asymmetric unit:
Mg (0.000, 0.061, 0.107) (multiplicity 8)
Mg (0.000, 0.298, 0.250) (multiplicity 4)
Ga (0.000, 0.241, 0.603) (multiplicity 8)
Ag (0.000, 0.394, 0.063) (multiplicity 8)
Ag (0.000, 0.419, 0.750) (multiplicity 4)

The 8 most intense peaks (2θ from 5° to 70°), sorted by position:
21.9 deg, rel. 47, (1 1 0); 26.3 deg, rel. 41, (0 2 3); 34.3 deg, rel. 14, (1 1 4); 38.9 deg, rel. 100, (1 3 3); 39.6 deg, rel. 19, (0 0 6); 40.9 deg, rel. 28, (2 0 0); 49.3 deg, rel. 24, (1 5 0); 58.2 deg, rel. 11, (2 0 6)

[4]
# Dy2ThSc4
Theoretical X-ray powder pattern, Cu Kα X-rays. Input: a cell relaxed with GGA-PBE.
Peak positions follow from Bragg's law for the DFT cell and can differ from measured ones.

Structural model:
Lattice parameters (Å, degrees): 5.566 6.186 6.200 94.90 92.27 113.71
Space group P1 (No. 1)
Asymmetric unit:
Dy (0.000, 0.000, 0.000) (multiplicity 1)
Dy (0.256, 0.360, 0.609) (multiplicity 1)
Th (0.655, 0.223, 0.291) (multiplicity 1)
Sc (0.351, 0.610, 0.142) (multiplicity 1)
Sc (0.433, 0.915, 0.717) (multiplicity 1)
Sc (0.811, 0.453, 0.839) (multiplicity 1)
Sc (0.870, 0.791, 0.465) (multiplicity 1)

The 8 most intense peaks (2θ from 5° to 70°), sorted by position:
15.7 deg, rel. 83, (0 1 0); 23.6 deg, rel. 89, (1 0 1); 32.2 deg, rel. 92, (2 -1 0); 32.8 deg, rel. 100, (1 0 -2); 33.1 deg, rel. 80, (1 1 1); 33.5 deg, rel. 89, (0 2 -1); 33.8 deg, rel. 88, (-1 2 1); 34.1 deg, rel. 89, (1 -1 2)

[5]
# Zr4Cr
Theoretical X-ray powder pattern, Cu Kα X-rays. Input: a cell relaxed with GGA-PBE.
Peak positions follow from Bragg's law for the DFT cell and can differ from measured ones.

Structural model:
Lattice parameters (Å, degrees): 7.885 7.885 3.340 90.00 90.00 90.00
Space group I4/m (No. 87)
Asymmetric unit:
Zr (0.086, 0.731, 0.000) (multiplicity 8)
Cr (0.000, 0.000, 0.500) (multiplicity 2)

The 8 most intense peaks (2θ from 5° to 70°), sorted by position:
29.0 deg, rel. 8, (1 0 1); 36.0 deg, rel. 57, (3 1 0); 37.1 deg, rel. 100, (1 2 1); 51.9 deg, rel. 15, (2 4 0); 55.0 deg, rel. 8, (0 0 2); 55.4 deg, rel. 8, (4 1 1); 65.4 deg, rel. 25, (4 3 1); 67.5 deg, rel. 17, (3 1 2)

[6]
# Zr4GeSb
Theoretical X-ray powder pattern, Cu Kα X-rays. Input: a cell relaxed with GGA-PBE.
Peak positions follow from Bragg's law for the DFT cell and can differ from measured ones.

Structural model:
Lattice parameters (Å, degrees): 6.754 6.754 5.685 90.00 90.00 90.00
Space group P4/mcc (No. 124)
Asymmetric unit:
Zr (0.145, 0.336, 0.000) (multiplicity 8)
Ge (0.000, 0.000, 0.250) (multiplicity 2)
Sb (0.500, 0.500, 0.250) (multiplicity 2)

The 8 most intense peaks (2θ from 5° to 70°), sorted by position:
33.6 deg, rel. 100, (2 1 1); 36.8 deg, rel. 47, (1 1 2); 37.7 deg, rel. 13, (2 2 0); 41.5 deg, rel. 37, (2 0 2); 42.3 deg, rel. 51, (3 1 0); 57.4 deg, rel. 21, (2 1 3); 64.2 deg, rel. 19, (4 0 2); 67.4 deg, rel. 22, (3 3 2)

[7]
# LiTl2Os2O7
Theoretical X-ray powder pattern, Cu Kα X-rays. Input: a cell relaxed with GGA-PBE.
Peak positions follow from Bragg's law for the DFT cell and can differ from measured ones.

Structural model:
Lattice parameters (Å, degrees): 5.412 5.412 12.295 90.00 102.60 90.00
Space group C2/m (No. 12)
Asymmetric unit:
Li (0.000, 0.000, 0.000) (multiplicity 2)
Tl (0.190, 0.000, 0.380) (multiplicity 4)
Os (0.081, 0.500, 0.165) (multiplicity 4)
O (0.000, 0.500, 0.000) (multiplicity 2)
O (0.160, 0.500, 0.324) (multiplicity 4)
O (0.171, 0.250, 0.839) (multiplicity 8)

The 8 most intense peaks (2θ from 5° to 70°), sorted by position:
23.5 deg, rel. 14, (1 1 0); 25.8 deg, rel. 31, (1 1 1); 29.8 deg, rel. 100, (1 1 -3); 33.1 deg, rel. 40, (0 2 0); 45.1 deg, rel. 18, (2 0 3); 47.5 deg, rel. 20, (2 2 -1); 55.2 deg, rel. 19, (1 1 6); 57.1 deg, rel. 32, (1 3 -3)

[8]
# Tb4Dy19Ho6
Theoretical X-ray powder pattern, Cu Kα X-rays. Input: a cell relaxed with GGA-PBE.
Peak positions follow from Bragg's law for the DFT cell and can differ from measured ones.

Structural model:
Lattice parameters (Å, degrees): 12.384 12.384 12.384 90.00 90.00 90.00
Space group I23 (No. 197)
Asymmetric unit:
Tb (0.179, 0.179, 0.179) (multiplicity 8)
Dy (0.000, 0.000, 0.000) (multiplicity 2)
Dy (0.000, 0.000, 0.261) (multiplicity 12)
Dy (0.063, 0.278, 0.737) (multiplicity 24)
Ho (0.000, 0.126, 0.500) (multiplicity 12)

The 8 most intense peaks (2θ from 5° to 70°), sorted by position:
26.9 deg, rel. 49, (3 2 1); 28.8 deg, rel. 59, (4 0 0); 30.6 deg, rel. 100, (4 1 1); 35.5 deg, rel. 42, (4 2 2); 37.0 deg, rel. 73, (4 3 1); 54.4 deg, rel. 25, (6 3 3); 60.8 deg, rel. 28, (7 4 1); 61.8 deg, rel. 22, (8 2 0)

[9]
# Sr6Ca12Nd
Theoretical X-ray powder pattern, Cu Kα X-rays. Input: a cell relaxed with GGA-PBE.
Peak positions follow from Bragg's law for the DFT cell and can differ from measured ones.

Structural model:
Lattice parameters (Å, degrees): 15.2374 15.2374 13.3686 90.00 90.00 120.00
Space group R-3m (No. 166, hexagonal axes)
Asymmetric unit:
Sr (0.0877, 0.1754, 0.2540) (multiplicity 18)
Ca (0.0000, 0.2572, 0.5000) (multiplicity 18)
Ca (0.0540, 0.5270, 0.6251) (multiplicity 18)
Nd (0.0000, 0.0000, 0.5000) (multiplicity 3)

The 8 most intense peaks (2θ from 5° to 70°), sorted by position:
9.4 deg, rel. 19, (1 0 1); 19.0 deg, rel. 22, (2 1 1); 27.5 deg, rel. 33, (1 0 4); 27.8 deg, rel. 100, (4 0 1); 28.5 deg, rel. 46, (0 3 3); 30.2 deg, rel. 21, (0 4 2); 37.2 deg, rel. 14, (1 4 3); 50.1 deg, rel. 16, (4 3 4)

[10]
# LiAg3Pd3O8
Theoretical X-ray powder pattern, Cu Kα X-rays. Input: a cell relaxed with GGA-PBE.
Peak positions follow from Bragg's law for the DFT cell and can differ from measured ones.

Structural model:
Lattice parameters (Å, degrees): 10.735 6.162 7.083 90.00 117.73 90.00
Space group C2/m (No. 12)
Asymmetric unit:
Li (0.000, 0.000, 0.000) (multiplicity 2)
Ag (0.000, 0.500, 0.500) (multiplicity 2)
Ag (0.250, 0.250, 0.500) (multiplicity 4)
Pd (0.000, 0.500, 0.000) (multiplicity 2)
Pd (0.250, 0.250, 0.000) (multiplicity 4)
O (0.116, 0.500, 0.837) (multiplicity 4)
O (0.126, 0.000, 0.835) (multiplicity 4)
O (0.136, 0.256, 0.166) (multiplicity 8)

The 8 most intense peaks (2θ from 5° to 70°), sorted by position:
17.2 deg, rel. 60, (1 1 0); 18.7 deg, rel. 25, (2 0 0); 28.5 deg, rel. 66, (0 0 2); 34.7 deg, rel. 100, (2 2 0); 35.2 deg, rel. 52, (4 0 -2); 39.2 deg, rel. 46, (2 2 -2); 51.2 deg, rel. 42, (2 2 2); 59.8 deg, rel. 25, (6 2 -2)

[11]
# Tb3PrNdHo
Theoretical X-ray powder pattern, Cu Kα X-rays. Input: a cell relaxed with GGA-PBE.
Peak positions follow from Bragg's law for the DFT cell and can differ from measured ones.

Structural model:
Lattice parameters (Å, degrees): 19.959 5.699 7.046 90.00 90.28 90.00
Space group C2/m (No. 12)
Asymmetric unit:
Tb (0.022, 0.000, 0.241) (multiplicity 4)
Tb (0.166, 0.500, 0.234) (multiplicity 4)
Tb (0.220, 0.500, 0.747) (multiplicity 4)
Pr (0.146, 0.000, 0.528) (multiplicity 4)
Nd (0.054, 0.500, 0.762) (multiplicity 4)
Ho (0.149, 0.000, 0.961) (multiplicity 4)

The 8 most intense peaks (2θ from 5° to 70°), sorted by position:
26.8 deg, rel. 15, (6 0 0); 30.1 deg, rel. 100, (5 1 -1); 31.4 deg, rel. 54, (0 2 0); 32.7 deg, rel. 34, (3 1 -2); 32.8 deg, rel. 39, (3 1 2); 35.2 deg, rel. 29, (7 1 0); 55.1 deg, rel. 18, (5 3 -1); 56.8 deg, rel. 18, (3 3 2)

[12]
# MnZnIn4S8
Theoretical X-ray powder pattern, Cu Kα X-rays. Input: a cell relaxed with GGA-PBE.
Peak positions follow from Bragg's law for the DFT cell and can differ from measured ones.

Structural model:
Lattice parameters (Å, degrees): 25.884 3.919 6.787 90.00 94.91 90.00
Space group Cm (No. 8)
Asymmetric unit:
Mn (0.000, 0.000, 0.000) (multiplicity 2)
Zn (0.144, 0.000, 0.382) (multiplicity 2)
In (0.002, 0.500, 0.493) (multiplicity 2)
In (0.145, 0.500, 0.872) (multiplicity 2)
In (0.351, 0.500, 0.611) (multiplicity 2)
In (0.352, 0.000, 0.114) (multiplicity 2)
S (0.047, 0.500, 0.854) (multiplicity 2)
S (0.051, 0.000, 0.338) (multiplicity 2)
S (0.177, 0.500, 0.539) (multiplicity 2)
S (0.179, 0.000, 0.069) (multiplicity 2)
S (0.308, 0.000, 0.431) (multiplicity 2)
S (0.308, 0.500, 0.932) (multiplicity 2)
S (0.446, 0.000, 0.137) (multiplicity 2)
S (0.446, 0.500, 0.652) (multiplicity 2)

The 8 most intense peaks (2θ from 5° to 70°), sorted by position:
20.7 deg, rel. 87, (6 0 0); 26.7 deg, rel. 60, (1 1 1); 27.9 deg, rel. 100, (2 0 2); 32.2 deg, rel. 80, (5 1 1); 40.3 deg, rel. 51, (8 0 2); 46.3 deg, rel. 76, (0 2 0); 48.1 deg, rel. 59, (11 1 1); 51.2 deg, rel. 43, (6 2 0)